Entry 1:
Pr2Zn3Au9: computed powder X-ray diffraction pattern (a wavelength of 1.5418 Å), based on a structure optimized by DFT (PBE).

Structure:
Cell: 8.016 8.016 10.974 Å, 111.11 111.11 59.77°
Fractional positions:
Pr 0.084 0.250 0.250
Pr 0.250 0.084 0.750
Pr 0.750 0.916 0.250
Pr 0.916 0.750 0.750
Zn 0.000 0.500 0.000
Zn 0.145 0.679 0.502
Zn 0.321 0.855 0.998
Zn 0.500 0.000 0.500
Zn 0.679 0.145 0.002
Zn 0.855 0.321 0.498
Au 0.031 0.848 0.070
Au 0.152 0.969 0.430
Au 0.198 0.357 0.569
Au 0.201 0.583 0.254
Au 0.310 0.477 0.928
Au 0.357 0.198 0.069
Au 0.361 0.639 0.750
Au 0.417 0.799 0.246
Au 0.477 0.310 0.428
Au 0.523 0.690 0.572
Au 0.583 0.201 0.754
Au 0.639 0.361 0.250
Au 0.643 0.802 0.931
Au 0.690 0.523 0.072
Au 0.799 0.417 0.746
Au 0.802 0.643 0.431
Au 0.848 0.031 0.570
Au 0.969 0.152 0.930

Largest 6 diffraction maxima, sorted by position, 2θ from 10° to 90°:
d (Å)	Position (°2θ)	I/Imax
2.568	34.94	514
2.554	35.13	1000
2.317	38.88	307
2.309	39.02	607
1.376	68.13	196
1.374	68.25	195

---

Entry 2:
NbSbW: computed powder X-ray diffraction pattern (a wavelength of 1.5418 Å), based on a structure optimized by DFT (PBE).

Structure:
Cell: 4.973 4.985 5.378 Å, 99.71 90.43 118.92°
Fractional positions:
Nb 0.000 0.000 0.000
Nb 0.358 0.270 0.471
Sb 0.304 0.641 0.927
Sb 0.703 0.950 0.496
W 0.655 0.324 0.955
W 0.984 0.569 0.396

Largest 6 diffraction maxima, sorted by position, 2θ from 10° to 90°:
d (Å)	Position (°2θ)	I/Imax
2.637	34.00	1000
2.457	36.58	719
2.421	37.13	810
2.252	40.03	780
2.245	40.16	665
2.115	42.75	473